Diffraction record for Hf4PH2. The powder XRD pattern is theoretical, not measured: it uses a PBE-relaxed structure and λ = 1.5418 Å (Cu Kα).
No peak broadening, texture or thermal motion is included.

Crystal structure
```
14
Lattice="-3.405 3.649 4.441 3.405 -3.649 4.441 3.405 3.649 -4.441" Properties=species:S:1:pos:R:3 pbc="T T T"
Hf 3.354 0.234 -0.244
Hf 0.051 0.234 0.244
Hf 3.456 3.416 -0.244
Hf -0.051 3.416 0.244
Hf 1.696 1.748 2.589
Hf -1.696 1.901 2.589
Hf 1.709 1.748 6.293
Hf -1.709 1.901 6.293
P 3.502 0.000 2.221
P 3.308 3.649 2.221
H 3.405 1.825 -1.438
H 0.000 1.825 1.438
H 1.703 4.492 0.000
H 1.703 2.807 4.441
```

Main lines, in order of rising 2θ (10 to 80 degrees two-theta):
| Position (°2θ) | I/Imax |
| --- | --- |
| 31.74 | 95.5 |
| 32.64 | 25.0 |
| 33.15 | 92.8 |
| 36.08 | 100.0 |
| 40.63 | 17.0 |
| 53.85 | 17.3 |
| 55.44 | 25.3 |
| 55.87 | 20.5 |
| 61.30 | 21.8 |
| 63.87 | 26.0 |